(1)
Tb16Pm6Ho7: simulated powder X-ray diffraction pattern (Cu Kα X-rays), based on a crystal structure in Alexandria, relaxed with PBE.
Intensities are scaled so that the largest is 100.

Atomic structure:
Lattice parameters (Å, degrees): 15.7912 15.7912 15.7912 90.00 90.00 90.00
Space group Fm-3m (No. 225)
One atom of each set of equivalent atoms:
Tb: 0.1250 0.1250 0.1250 x32
Tb: 0.1515 0.1515 0.3485 x32
Pm: 0.0000 0.0000 0.2754 x24
Ho: 0.0000 0.0000 0.0000 x4
Ho: 0.0000 0.2500 0.2500 x24

Largest 10 diffraction maxima, sorted by position, 2θ from 10° to 90°:
h k l  2θ (°)  Rel. int.
4 2 2  27.7  7
3 3 3  29.4  14
4 4 0  32.1  100
5 3 1  33.6  6
7 3 1  44.0  7
8 0 0  46.0  14
8 4 4  57.2  25
7 7 3  60.7  7
8 8 0  67.1  7
12 4 0  76.3  6



(2)
TbPm5Ho5: simulated powder X-ray diffraction pattern (Cu Kα X-rays), based on a crystal structure in Alexandria, relaxed with PBE.
Intensities are scaled so that the largest is 100.

Atomic structure:
Lattice parameters (Å, degrees): 6.0980 6.0980 11.7228 90.00 90.00 120.00
Space group P-6m2 (No. 187)
One atom of each set of equivalent atoms:
Tb: 0.0000 0.0000 0.0000 x1
Pm: 0.0000 0.0000 0.3167 x2
Pm: 0.3333 0.6667 0.1539 x2
Pm: 0.6667 0.3333 0.0000 x1
Ho: 0.0005 0.5002 0.5000 x3
Ho: 0.6667 0.3333 0.2656 x2

Largest 10 diffraction maxima, sorted by position, 2θ from 10° to 90°:
h k l  2θ (°)  Rel. int.
1 0 3  28.4  100
1 1 0  29.3  86
1 1 1  30.3  33
1 1 2  33.1  26
2 0 1  34.8  35
1 0 4  35.0  34
2 0 2  37.4  53
2 0 4  46.3  26
2 1 3  51.4  39
2 2 0  60.8  29



(3)
TbPm4Ho8: simulated powder X-ray diffraction pattern (Cu Kα X-rays), based on a crystal structure in Alexandria, relaxed with PBE.
Intensities are scaled so that the largest is 100.

Atomic structure:
Lattice parameters (Å, degrees): 7.3817 7.3817 26.8946 90.00 90.00 120.00
Space group R-3m (No. 166, hexagonal axes)
One atom of each set of equivalent atoms:
Tb: 0.0000 0.0000 0.0000 x3
Pm: 0.0000 0.0000 0.5000 x3
Pm: 0.0000 0.5000 0.5000 x9
Ho: 0.0000 0.0000 0.2824 x6
Ho: 0.0403 0.5201 0.2706 x18

Largest 10 diffraction maxima, sorted by position, 2θ from 10° to 90°:
h k l  2θ (°)  Rel. int.
0 2 1  28.1  16
0 0 9  29.9  32
0 2 4  31.0  100
2 0 5  32.6  44
2 0 8  38.9  25
2 2 0  49.4  31
0 2 13  52.7  17
2 0 14  55.8  10
2 2 9  58.8  24
4 0 4  59.4  14



(4)
Tb3Pm5Ho4: simulated powder X-ray diffraction pattern (Cu Kα X-rays), based on a crystal structure in Alexandria, relaxed with PBE.
Intensities are scaled so that the largest is 100.

Atomic structure:
Lattice parameters (Å, degrees): 6.2090 7.1694 8.7753 90.08 90.08 90.09
Space group P-1 (No. 2)
One atom of each set of equivalent atoms:
Tb: 0.0000 0.0000 0.0000 x1
Tb: 0.1663 0.7485 0.6651 x2
Pm: 0.0000 0.5000 0.0000 x1
Pm: 0.3319 0.0002 0.3349 x2
Pm: 0.4996 0.2511 0.0000 x2
Ho: 0.1665 0.2516 0.6650 x2
Ho: 0.3341 0.5000 0.3356 x2

Largest 10 diffraction maxima, sorted by position, 2θ from 10° to 90°:
h k l  2θ (°)  Rel. int.
2 0 1  30.5  100
1 2 2  35.4  51
3 2 0  51.0  36
4 0 -1  60.6  29
3 2 3  60.7  14
4 0 2  63.6  12
5 -2 1  83.0  10
5 2 1  83.1  7
5 2 -2  85.7  10
1 6 2  85.8  4



(5)
Tb2Pm3Ho: simulated powder X-ray diffraction pattern (Cu Kα X-rays), based on a crystal structure in Alexandria, relaxed with PBE.
Intensities are scaled so that the largest is 100.

Atomic structure:
Lattice parameters (Å, degrees): 7.2484 7.2512 8.9577 78.19 78.18 60.12
Space group P-1 (No. 2)
One atom of each set of equivalent atoms:
Tb: 0.1369 0.1388 0.1690 x2
Tb: 0.1376 0.6391 0.1669 x2
Pm: 0.2491 0.2505 0.4984 x2
Pm: 0.3610 0.3613 0.8321 x2
Pm: 0.3609 0.8614 0.8344 x2
Ho: 0.2492 0.7510 0.4989 x2

Largest 10 diffraction maxima, sorted by position, 2θ from 10° to 90°:
h k l  2θ (°)  Rel. int.
2 2 1  28.6  37
0 0 3  30.8  50
2 0 -1  31.6  100
2 0 2  33.2  58
2 2 -1  33.4  28
2 4 1  50.3  25
0 2 -4  54.2  15
4 2 4  60.1  30
4 2 -2  60.3  15
4 4 3  61.7  15



(6)
Tb3PmHo7: simulated powder X-ray diffraction pattern (Cu Kα X-rays), based on a crystal structure in Alexandria, relaxed with PBE.
Intensities are scaled so that the largest is 100.

Atomic structure:
Lattice parameters (Å, degrees): 6.9292 5.5174 9.8940 90.00 109.87 90.00
Space group P2/m (No. 10)
One atom of each set of equivalent atoms:
Tb: 0.0000 0.0000 0.0000 x1
Tb: 0.2210 0.5000 0.5024 x2
Pm: 0.5000 0.0000 0.0000 x1
Ho: 0.0785 0.0000 0.6691 x2
Ho: 0.1775 0.5000 0.8584 x2
Ho: 0.3528 0.5000 0.2102 x2
Ho: 0.5000 0.0000 0.5000 x1

Largest 10 diffraction maxima, sorted by position, 2θ from 10° to 90°:
h k l  2θ (°)  Rel. int.
1 1 2  31.6  28
2 1 0  31.9  100
2 1 -2  32.1  80
0 2 0  32.4  86
0 1 3  33.1  67
2 2 -3  46.5  16
4 0 -2  52.8  20
2 3 0  57.5  19
2 1 4  58.5  16
4 2 -2  63.4  23



(7)
TbPm6Ho2: simulated powder X-ray diffraction pattern (Cu Kα X-rays), based on a crystal structure in Alexandria, relaxed with PBE.
Intensities are scaled so that the largest is 100.

Atomic structure:
Lattice parameters (Å, degrees): 3.6163 8.8516 9.5477 90.17 100.88 90.11
Space group P-1 (No. 2)
One atom of each set of equivalent atoms:
Tb: 0.0000 0.0000 0.0000 x1
Pm: 0.1089 0.6651 0.2185 x2
Pm: 0.2212 0.3337 0.4419 x2
Pm: 0.3345 0.0009 0.6694 x2
Ho: 0.4452 0.6681 0.8903 x2

Largest 10 diffraction maxima, sorted by position, 2θ from 10° to 90°:
h k l  2θ (°)  Rel. int.
1 1 1  30.3  100
1 2 -2  35.1  34
0 2 3  35.2  17
2 0 -1  50.5  24
1 4 1  50.6  12
2 -1 2  60.0  18
2 3 -1  60.1  11
1 3 4  60.2  14
2 2 2  63.0  12
3 1 0  82.2  7



(8)
Tb8Pm4Ho3: simulated powder X-ray diffraction pattern (Cu Kα X-rays), based on a crystal structure in Alexandria, relaxed with PBE.
Intensities are scaled so that the largest is 100.

Atomic structure:
Lattice parameters (Å, degrees): 6.9636 6.9636 35.5210 90.00 90.00 120.00
Space group R-3m (No. 166, hexagonal axes)
One atom of each set of equivalent atoms:
Tb: 0.0000 0.0000 0.2450 x6
Tb: 0.0018 0.5009 0.7512 x18
Pm: 0.0000 0.0000 0.0000 x3
Pm: 0.0000 0.0000 0.3365 x6
Pm: 0.0000 0.0000 0.5000 x3
Ho: 0.0000 0.5000 0.5000 x9

Largest 10 diffraction maxima, sorted by position, 2θ from 10° to 90°:
h k l  2θ (°)  Rel. int.
1 1 3  26.7  16
0 2 1  29.8  25
0 0 12  30.2  55
0 2 4  31.3  100
2 0 8  36.0  73
0 2 16  51.1  23
2 2 0  52.6  37
2 0 20  60.5  17
2 2 12  61.8  45
2 2 24  86.3  16



(9)
TbPm3Ho4: simulated powder X-ray diffraction pattern (Cu Kα X-rays), based on a crystal structure in Alexandria, relaxed with PBE.
Intensities are scaled so that the largest is 100.

Atomic structure:
Lattice parameters (Å, degrees): 11.4184 7.2950 6.2944 90.00 90.00 90.00
Space group Pmn2_1 (No. 31)
One atom of each set of equivalent atoms:
Tb: 0.0000 0.1286 0.0000 x2
Pm: 0.0000 0.8729 0.4999 x2
Pm: 0.2502 0.1267 0.3343 x4
Ho: 0.0000 0.3779 0.5009 x2
Ho: 0.0000 0.6224 0.0005 x2
Ho: 0.2490 0.3778 0.8335 x4

Largest 10 diffraction maxima, sorted by position, 2θ from 10° to 90°:
h k l  2θ (°)  Rel. int.
0 0 2  28.3  24
4 0 0  31.3  24
2 2 1  32.4  100
4 0 2  42.7  16
0 4 0  50.0  7
0 2 3  50.2  13
6 2 1  56.5  21
4 4 0  60.2  8
4 2 3  60.3  15
2 4 2  60.9  11



(10)
Tb2Pm3Ho3: simulated powder X-ray diffraction pattern (Cu Kα X-rays), based on a crystal structure in Alexandria, relaxed with PBE.
Intensities are scaled so that the largest is 100.

Atomic structure:
Lattice parameters (Å, degrees): 5.7243 14.5843 6.2987 90.00 90.05 90.00
Space group P2_1/m (No. 11)
One atom of each set of equivalent atoms:
Tb: 0.2502 0.1244 0.1672 x4
Pm: 0.2497 0.2500 0.6647 x2
Pm: 0.2503 0.6240 0.1674 x4
Ho: 0.2499 0.5008 0.6662 x4
Ho: 0.2499 0.7500 0.6684 x2

Largest 10 diffraction maxima, sorted by position, 2θ from 10° to 90°:
h k l  2θ (°)  Rel. int.
0 0 2  28.3  24
2 0 0  31.3  24
1 4 1  32.4  100
2 0 2  42.7  16
0 4 3  50.1  13
3 4 1  56.4  21
2 8 0  60.2  8
2 4 3  60.3  15
1 8 2  60.9  11
1 8 4  82.7  7



(11)
Tb2PmHo6Th: simulated powder X-ray diffraction pattern (Cu Kα X-rays), based on a crystal structure in Alexandria, relaxed with PBE.
Intensities are scaled so that the largest is 100.

Atomic structure:
Lattice parameters (Å, degrees): 9.0631 14.8998 9.6594 90.00 98.59 90.00
Space group C2/c (No. 15)
One atom of each set of equivalent atoms:
Tb: 0.2412 0.0504 0.0452 x8
Pm: 0.0000 0.0217 0.7500 x4
Ho: 0.0683 0.1893 0.4405 x8
Ho: 0.0967 0.3960 0.6188 x8
Ho: 0.2011 0.2264 0.8166 x8
Th: 0.0000 0.4048 0.2500 x4

Largest 10 diffraction maxima, sorted by position, 2θ from 10° to 90°:
h k l  2θ (°)  Rel. int.
1 3 2  28.8  30
3 1 -1  30.6  93
2 2 2  31.7  100
2 4 -1  31.7  34
1 5 -1  32.6  16
3 1 -2  33.5  13
1 3 -3  33.7  46
2 2 -3  34.2  14
1 1 5  50.7  11
4 0 4  60.8  15



(12)
TbPm6Ho2Th: simulated powder X-ray diffraction pattern (Cu Kα X-rays), based on a crystal structure in Alexandria, relaxed with PBE.
Intensities are scaled so that the largest is 100.

Atomic structure:
Lattice parameters (Å, degrees): 9.3395 14.9986 9.6964 90.00 97.58 90.00
Space group C2/c (No. 15)
One atom of each set of equivalent atoms:
Tb: 0.0000 0.0925 0.2500 x4
Pm: 0.0651 0.3246 0.4420 x8
Pm: 0.0944 0.1084 0.6186 x8
Pm: 0.2072 0.2810 0.8138 x8
Ho: 0.2459 0.4542 0.0509 x8
Th: 0.0000 0.4699 0.7500 x4

Largest 10 diffraction maxima, sorted by position, 2θ from 10° to 90°:
h k l  2θ (°)  Rel. int.
2 2 -2  27.6  26
1 3 2  28.3  59
3 1 -1  29.8  60
0 2 3  30.3  62
2 2 2  30.9  79
2 4 -1  31.3  100
1 5 -1  32.4  34
3 1 -2  32.9  25
1 3 -3  33.6  35
0 6 1  37.1  22